(1)
The following is a simulated PXRD pattern of Cr5Si3C. It was derived from a cell relaxed with PBE, using Cu Kα (weighted mean of Kα1 and Kα2).
Intensities are scaled so that the largest is 1000.

Peak list (10 most intense, 2θ from 5° to 70°, sorted by position)
2theta  I/Imax
25.71  93
31.81  66
37.32  96
39.73  387
40.34  234
44.12  1000
45.33  279
45.87  676
56.43  70
66.47  156

Atomic structure:
Cell lengths 6.931, 6.931, 4.818 Å; angles 90.00, 90.00, 120.00 degrees
Positions (direct):
Cr 0.000 0.230 0.250
Cr 0.000 0.770 0.750
Cr 0.230 0.000 0.250
Cr 0.230 0.230 0.750
Cr 0.333 0.667 0.000
Cr 0.333 0.667 0.500
Cr 0.667 0.333 0.000
Cr 0.667 0.333 0.500
Cr 0.770 0.000 0.750
Cr 0.770 0.770 0.250
Si 0.000 0.406 0.750
Si 0.000 0.594 0.250
Si 0.406 0.000 0.750
Si 0.406 0.406 0.250
Si 0.594 0.000 0.250
Si 0.594 0.594 0.750
C 0.000 0.000 0.000
C 0.000 0.000 0.500

(2)
The following is a simulated PXRD pattern of RbIO2F2. It was derived from a cell relaxed with PBE, using Cu Kα (weighted mean of Kα1 and Kα2).
Intensities are scaled so that the largest is 1000.

Peak list (10 most intense, 2θ from 5° to 70°, sorted by position)
2theta  I/Imax
20.07  346
24.60  1000
24.79  921
28.42  192
28.68  628
31.91  175
40.80  506
45.71  164
48.30  262
48.61  210

Atomic structure:
Cell lengths 8.757, 6.282, 8.854 Å; angles 90.00, 90.00, 90.00 degrees
Positions (direct):
Rb 0.212 0.028 0.000
Rb 0.288 0.028 0.500
Rb 0.712 0.972 0.000
Rb 0.788 0.972 0.500
I 0.008 0.445 0.279
I 0.492 0.445 0.779
I 0.508 0.555 0.279
I 0.992 0.555 0.779
O 0.029 0.635 0.971
O 0.203 0.357 0.254
O 0.297 0.357 0.754
O 0.471 0.635 0.471
O 0.529 0.365 0.971
O 0.703 0.643 0.254
O 0.797 0.643 0.754
O 0.971 0.365 0.471
F 0.070 0.846 0.702
F 0.072 0.743 0.345
F 0.428 0.743 0.845
F 0.430 0.846 0.202
F 0.570 0.154 0.702
F 0.572 0.257 0.345
F 0.928 0.257 0.845
F 0.930 0.154 0.202

(3)
The following is a simulated PXRD pattern of CaSn6S13. It was derived from a cell relaxed with PBE, using Cu Kα (weighted mean of Kα1 and Kα2).
Intensities are scaled so that the largest is 1000.

Peak list (10 most intense, 2θ from 5° to 70°, sorted by position)
2theta  I/Imax
16.03  908
21.30  903
21.78  879
26.19  619
27.77  588
31.95  609
41.92  720
42.26  1000
42.65  932
49.14  555

Atomic structure:
Cell lengths 9.612, 9.759, 12.083 Å; angles 74.02, 87.42, 60.69 degrees
Positions (direct):
Ca 0.152 0.310 0.345
Ca 0.848 0.690 0.655
Sn 0.080 0.275 0.000
Sn 0.174 0.954 0.734
Sn 0.258 0.766 0.224
Sn 0.289 0.636 0.524
Sn 0.363 0.415 0.010
Sn 0.393 0.180 0.716
Sn 0.607 0.820 0.284
Sn 0.637 0.585 0.990
Sn 0.711 0.364 0.476
Sn 0.742 0.234 0.776
Sn 0.826 0.046 0.266
Sn 0.920 0.725 0.000
S 0.024 0.045 0.113
S 0.053 0.748 0.360
S 0.084 0.819 0.627
S 0.106 0.521 0.878
S 0.176 0.441 0.591
S 0.179 0.590 0.140
S 0.255 0.079 0.873
S 0.310 0.193 0.145
S 0.338 0.874 0.370
S 0.370 0.003 0.606
S 0.398 0.649 0.865
S 0.435 0.471 0.375
S 0.479 0.783 0.116
S 0.521 0.217 0.884
S 0.565 0.529 0.625
S 0.602 0.351 0.135
S 0.630 0.997 0.394
S 0.662 0.126 0.630
S 0.690 0.807 0.855
S 0.745 0.921 0.127
S 0.821 0.410 0.860
S 0.824 0.559 0.409
S 0.894 0.479 0.122
S 0.916 0.181 0.373
S 0.947 0.252 0.640
S 0.976 0.955 0.887

(4)
The following is a simulated PXRD pattern of H6PdC2S2O6. It was derived from a cell relaxed with PBE, using Cu Kα (weighted mean of Kα1 and Kα2).
Intensities are scaled so that the largest is 1000.

Peak list (10 most intense, 2θ from 5° to 70°, sorted by position)
2theta  I/Imax
14.20  895
15.52  1000
19.59  290
24.34  290
26.30  204
27.76  498
29.00  218
34.73  145
37.42  177
43.88  153

Atomic structure:
Cell lengths 4.935, 11.418, 8.071 Å; angles 90.00, 112.75, 90.00 degrees
Positions (direct):
H 0.014 0.164 0.455
H 0.014 0.336 0.955
H 0.167 0.236 0.841
H 0.167 0.264 0.341
H 0.407 0.167 0.515
H 0.407 0.333 0.015
H 0.593 0.667 0.985
H 0.593 0.833 0.485
H 0.833 0.736 0.659
H 0.833 0.764 0.159
H 0.986 0.664 0.045
H 0.986 0.836 0.545
Pd 0.500 0.000 0.000
Pd 0.500 0.500 0.500
C 0.191 0.178 0.407
C 0.191 0.322 0.907
C 0.809 0.678 0.093
C 0.809 0.822 0.593
S 0.149 0.066 0.247
S 0.149 0.434 0.747
S 0.851 0.566 0.253
S 0.851 0.934 0.753
O 0.125 0.597 0.416
O 0.125 0.903 0.916
O 0.138 0.548 0.823
O 0.138 0.952 0.323
O 0.409 0.086 0.196
O 0.409 0.414 0.696
O 0.591 0.586 0.304
O 0.591 0.914 0.804
O 0.862 0.048 0.677
O 0.862 0.452 0.177
O 0.875 0.097 0.084
O 0.875 0.403 0.584

(5)
The following is a simulated PXRD pattern of SmP3. It was derived from a cell relaxed with PBE, using Cu Kα (weighted mean of Kα1 and Kα2).
Intensities are scaled so that the largest is 1000.

Peak list (10 most intense, 2θ from 5° to 70°, sorted by position)
2theta  I/Imax
18.46  338
24.35  714
32.03  182
36.09  267
37.22  1000
37.42  246
45.93  270
52.66  186
60.68  232
67.38  170

Atomic structure:
Cell lengths 5.559, 5.559, 5.559 Å; angles 138.36, 138.36, 60.35 degrees
Positions (direct):
Sm 0.000 0.000 0.000
P 0.250 0.750 0.500
P 0.500 0.500 0.000
P 0.750 0.250 0.500

(6)
The following is a simulated PXRD pattern of NaCeP2O7. It was derived from a cell relaxed with PBE, using Cu Kα (weighted mean of Kα1 and Kα2).
Intensities are scaled so that the largest is 1000.

Peak list (10 most intense, 2θ from 5° to 70°, sorted by position)
2theta  I/Imax
13.88  1000
18.03  392
20.37  320
21.54  305
26.41  428
26.81  811
27.33  895
33.61  356
42.06  380
45.20  470

Atomic structure:
Cell lengths 8.718, 5.333, 12.762 Å; angles 90.00, 90.00, 90.00 degrees
Positions (direct):
Na 0.119 0.250 0.079
Na 0.381 0.750 0.579
Na 0.619 0.250 0.421
Na 0.881 0.750 0.921
Ce 0.187 0.250 0.764
Ce 0.313 0.750 0.264
Ce 0.687 0.250 0.736
Ce 0.813 0.750 0.236
P 0.013 0.250 0.318
P 0.237 0.750 0.966
P 0.263 0.250 0.466
P 0.487 0.750 0.818
P 0.513 0.250 0.182
P 0.737 0.750 0.534
P 0.763 0.250 0.034
P 0.987 0.750 0.682
O 0.069 0.007 0.264
O 0.069 0.493 0.264
O 0.081 0.250 0.436
O 0.161 0.750 0.676
O 0.163 0.513 0.921
O 0.163 0.987 0.921
O 0.236 0.750 0.086
O 0.264 0.250 0.586
O 0.337 0.013 0.421
O 0.337 0.487 0.421
O 0.339 0.250 0.176
O 0.419 0.750 0.936
O 0.431 0.507 0.764
O 0.431 0.993 0.764
O 0.569 0.007 0.236
O 0.569 0.493 0.236
O 0.581 0.250 0.064
O 0.661 0.750 0.824
O 0.663 0.513 0.579
O 0.663 0.987 0.579
O 0.736 0.750 0.414
O 0.764 0.250 0.914
O 0.837 0.013 0.079
O 0.837 0.487 0.079
O 0.839 0.250 0.324
O 0.919 0.750 0.564
O 0.931 0.507 0.736
O 0.931 0.993 0.736

(7)
The following is a simulated PXRD pattern of SrPm3. It was derived from a cell relaxed with PBE, using Cu Kα (weighted mean of Kα1 and Kα2).
Intensities are scaled so that the largest is 1000.

Peak list (10 most intense, 2θ from 5° to 70°, sorted by position)
2theta  I/Imax
13.43  44
27.05  235
29.64  251
30.92  1000
40.56  159
47.80  194
53.40  214
57.25  226
58.02  161
64.44  39

Atomic structure:
Cell lengths 7.612, 7.612, 6.028 Å; angles 90.00, 90.00, 120.00 degrees
Positions (direct):
Sr 0.333 0.667 0.250
Sr 0.667 0.333 0.750
Pm 0.160 0.320 0.750
Pm 0.160 0.840 0.750
Pm 0.320 0.160 0.250
Pm 0.680 0.840 0.750
Pm 0.840 0.160 0.250
Pm 0.840 0.680 0.250

(8)
The following is a simulated PXRD pattern of CsEu3. It was derived from a cell relaxed with PBE, using Cu Kα (weighted mean of Kα1 and Kα2).
Intensities are scaled so that the largest is 1000.

Peak list (6 most intense, 2θ from 5° to 70°, sorted by position)
2theta  I/Imax
26.43  1000
37.73  196
46.66  428
54.42  135
61.49  187
68.12  46

Atomic structure:
Cell lengths 6.744, 6.744, 6.744 Å; angles 60.00, 60.00, 60.00 degrees
Positions (direct):
Cs 0.000 0.000 0.000
Eu 0.250 0.250 0.250
Eu 0.500 0.500 0.500
Eu 0.750 0.750 0.750

(9)
The following is a simulated PXRD pattern of TlTe3Mo3. It was derived from a cell relaxed with PBE, using Cu Kα (weighted mean of Kα1 and Kα2).
Intensities are scaled so that the largest is 1000.

Peak list (10 most intense, 2θ from 5° to 70°, sorted by position)
2theta  I/Imax
10.44  764
21.96  560
26.56  814
28.72  670
34.00  582
34.19  580
34.31  640
39.06  1000
41.72  539
41.85  535

Atomic structure:
Cell lengths 9.680, 4.612, 9.771 Å; angles 90.00, 119.44, 90.00 degrees
Positions (direct):
Tl 0.169 0.250 0.336
Tl 0.831 0.750 0.664
Te 0.142 0.250 0.957
Te 0.190 0.750 0.648
Te 0.453 0.750 0.310
Te 0.547 0.250 0.690
Te 0.810 0.250 0.352
Te 0.858 0.750 0.043
Mo 0.332 0.750 0.980
Mo 0.354 0.250 0.835
Mo 0.478 0.250 0.146
Mo 0.522 0.750 0.854
Mo 0.646 0.750 0.165
Mo 0.668 0.250 0.020

> What is the formula in the third record?

CaSn6S13